For CrFe2Os, a DFT-relaxed cell (GGA-PBE, Alexandria) gives the calculated powder X-ray diffraction pattern in this record (Cu Kα, 1.54184 Å).
Intensities are scaled so that the largest is 100.

Principal peaks in the range 5° ≤ 2θ ≤ 70°, in order of falling intensity:
d (Å)  two_theta  I (rel.)  hkl
2.069  43.8  100  1 1 1
2.091  43.3  26  0 0 2
2.028  44.7  24  0 2 0
4.057  21.9  20  0 1 0
4.182  21.2  19  0 0 1
2.912  30.7  18  0 1 1

Atomic structure:
```
data_CrFe2Os
_chemical_formula_sum 'Cr1 Fe2 Os1'
_cell_length_a 2.940
_cell_length_b 4.057
_cell_length_c 4.182
_cell_angle_alpha 90.00
_cell_angle_beta 90.00
_cell_angle_gamma 90.00
_symmetry_space_group_name_H-M 'P m m m'
_symmetry_Int_Tables_number 47
loop_
_symmetry_equiv_pos_as_xyz
'x,y,z'
'-x,-y,-z'
'-x,-y,z'
'x,y,-z'
'x,-y,-z'
'-x,y,z'
'-x,y,-z'
'x,-y,z'
loop_
_atom_site_label
_atom_site_fract_x
_atom_site_fract_y
_atom_site_fract_z
Cr1 0.000 0.000 0.000
Fe1 0.000 0.500 0.500
Fe2 0.500 0.000 0.500
Os1 0.500 0.500 0.000
```

For PmCrFeP2, a DFT-relaxed cell (GGA-PBE, Alexandria) gives the calculated powder X-ray diffraction pattern in this record (Cu Kα, 1.54184 Å).
Intensities are scaled so that the largest is 100.

Principal peaks in the range 5° ≤ 2θ ≤ 70°, in order of falling intensity:
d (Å)  two_theta  I (rel.)  hkl
2.419  37.2  100  1 1 2
2.552  35.2  73  1 0 3
3.635  24.5  52  1 0 1
1.947  46.7  42  2 0 0
1.548  59.7  31  2 1 3
1.440  64.7  24  1 1 6

Atomic structure:
```
data_PmCrFeP2
_chemical_formula_sum 'Pm2 Cr2 Fe2 P4'
_cell_length_a 3.894
_cell_length_b 3.894
_cell_length_c 10.139
_cell_angle_alpha 90.00
_cell_angle_beta 90.00
_cell_angle_gamma 90.00
_symmetry_space_group_name_H-M 'I -4 m 2'
_symmetry_Int_Tables_number 119
_symmetry_space_group_name_Hall 'I -4 -2'
loop_
_atom_site_label
_atom_site_fract_x
_atom_site_fract_y
_atom_site_fract_z
Pm1 0.000 0.000 0.000
Cr1 0.000 0.500 0.750
Fe1 0.000 0.500 0.250
P1 0.000 0.000 0.363
```

For Pa2CrFe9, a DFT-relaxed cell (GGA-PBE, Alexandria) gives the calculated powder X-ray diffraction pattern in this record (Cu Kα, 1.54184 Å).
Intensities are scaled so that the largest is 100.

Principal peaks in the range 5° ≤ 2θ ≤ 70°, in order of falling intensity:
d (Å)  two_theta  I (rel.)  hkl
2.073  43.7  100  1 1 6
8.220  10.8  56  0 0 3
2.688  33.3  49  1 0 7
2.401  37.5  47  1 1 0
1.972  46.0  45  0 1 11
3.448  25.8  35  1 0 4

Atomic structure:
```
data_Pa2CrFe9
_chemical_formula_sum 'Pa6 Cr3 Fe27'
_cell_length_a 4.8019
_cell_length_b 4.8019
_cell_length_c 24.6611
_cell_angle_alpha 90.00
_cell_angle_beta 90.00
_cell_angle_gamma 120.00
_symmetry_space_group_name_H-M 'R -3 m'
_symmetry_Int_Tables_number 166
_symmetry_space_group_name_Hall '-R 3 2"'
loop_
_atom_site_label
_atom_site_fract_x
_atom_site_fract_y
_atom_site_fract_z
Pa1 0.0000 0.0000 0.1426
Cr1 0.0000 0.0000 0.0000
Fe1 0.0000 0.0000 0.3337
Fe2 0.0000 0.0000 0.5000
Fe3 0.0023 0.5012 0.9215
```

For CrFe4Pd, a DFT-relaxed cell (GGA-PBE, Alexandria) gives the calculated powder X-ray diffraction pattern in this record (Cu Kα, 1.54184 Å).
Intensities are scaled so that the largest is 100.

Principal peaks in the range 5° ≤ 2θ ≤ 70°, in order of falling intensity:
d (Å)  two_theta  I (rel.)  hkl
2.020  44.9  100  3 1 1
2.369  38.0  39  2 2 0
1.934  47.0  30  2 2 2
1.368  68.6  12  4 2 2
3.350  26.6  5  2 0 0
3.869  23.0  5  1 1 1

Atomic structure:
```
data_CrFe4Pd
_chemical_formula_sum 'Cr4 Fe16 Pd4'
_cell_length_a 6.701
_cell_length_b 6.701
_cell_length_c 6.701
_cell_angle_alpha 90.00
_cell_angle_beta 90.00
_cell_angle_gamma 90.00
_symmetry_space_group_name_H-M 'F -4 3 m'
_symmetry_Int_Tables_number 216
_symmetry_space_group_name_Hall 'F -4 2 3'
loop_
_atom_site_label
_atom_site_fract_x
_atom_site_fract_y
_atom_site_fract_z
Cr1 0.000 0.000 0.000
Fe1 0.125 0.125 0.375
Pd1 0.250 0.250 0.750
```

For CrFePt6, a DFT-relaxed cell (GGA-PBE, Alexandria) gives the calculated powder X-ray diffraction pattern in this record (Cu Kα, 1.54184 Å).
Intensities are scaled so that the largest is 100.

Principal peaks in the range 5° ≤ 2θ ≤ 70°, in order of falling intensity:
d (Å)  two_theta  I (rel.)  hkl
2.262  39.8  100  1 1 2
1.959  46.3  49  2 0 0
1.385  67.6  32  2 2 0
3.919  22.7  14  1 0 0
2.771  32.3  12  1 1 0
1.752  52.2  7  2 1 0

Atomic structure:
```
data_CrFePt6
_chemical_formula_sum 'Cr1 Fe1 Pt6'
_cell_length_a 3.916
_cell_length_b 3.916
_cell_length_c 7.848
_cell_angle_alpha 90.00
_cell_angle_beta 90.00
_cell_angle_gamma 90.00
_symmetry_space_group_name_H-M 'P 4/m m m'
_symmetry_Int_Tables_number 123
_symmetry_space_group_name_Hall '-P 4 2'
loop_
_atom_site_label
_atom_site_fract_x
_atom_site_fract_y
_atom_site_fract_z
Cr1 0.000 0.000 0.000
Fe1 0.000 0.000 0.500
Pt1 0.000 0.500 0.251
Pt2 0.500 0.500 0.000
Pt3 0.500 0.500 0.500
```

For CrFe4Pt, a DFT-relaxed cell (GGA-PBE, Alexandria) gives the calculated powder X-ray diffraction pattern in this record (Cu Kα, 1.54184 Å).
Intensities are scaled so that the largest is 100.

Principal peaks in the range 5° ≤ 2θ ≤ 70°, in order of falling intensity:
d (Å)  two_theta  I (rel.)  hkl
2.015  45.0  100  3 1 1
2.363  38.1  52  2 2 0
3.858  23.1  25  1 1 1
1.929  47.1  23  2 2 2
3.341  26.7  20  2 0 0
1.364  68.8  18  4 2 2

Atomic structure:
```
data_CrFe4Pt
_chemical_formula_sum 'Cr4 Fe16 Pt4'
_cell_length_a 6.683
_cell_length_b 6.683
_cell_length_c 6.683
_cell_angle_alpha 90.00
_cell_angle_beta 90.00
_cell_angle_gamma 90.00
_symmetry_space_group_name_H-M 'F -4 3 m'
_symmetry_Int_Tables_number 216
_symmetry_space_group_name_Hall 'F -4 2 3'
loop_
_atom_site_label
_atom_site_fract_x
_atom_site_fract_y
_atom_site_fract_z
Cr1 0.000 0.000 0.000
Fe1 0.125 0.125 0.375
Pt1 0.250 0.250 0.750
```

For RbCr2Fe, a DFT-relaxed cell (GGA-PBE, Alexandria) gives the calculated powder X-ray diffraction pattern in this record (Cu Kα, 1.54184 Å).
Intensities are scaled so that the largest is 100.

Principal peaks in the range 5° ≤ 2θ ≤ 70°, in order of falling intensity:
d (Å)  two_theta  I (rel.)  hkl
3.591  24.8  100  1 1 2
1.795  50.9  39  2 2 4
2.959  30.2  30  2 0 0
2.259  39.9  27  2 0 4
1.808  50.5  27  3 1 2
3.662  24.3  27  1 0 3

Atomic structure:
```
data_RbCr2Fe
_chemical_formula_sum 'Rb4 Cr8 Fe4'
_cell_length_a 5.917
_cell_length_b 5.917
_cell_length_c 13.986
_cell_angle_alpha 90.00
_cell_angle_beta 90.00
_cell_angle_gamma 90.00
_symmetry_space_group_name_H-M 'I 41/a m d'
_symmetry_Int_Tables_number 141
loop_
_symmetry_equiv_pos_as_xyz
'x,y,z'
'-x,-y,-z'
'-y+1/4,x+3/4,z+1/4'
'y+1/4,-x+3/4,-z+1/4'
'-x+1/2,-y,z+1/2'
'x+1/2,y,-z+1/2'
'y+1/4,-x+1/4,z+3/4'
'-y+1/4,x+1/4,-z+3/4'
'x,-y,-z'
'-x,y,z'
'-y+1/4,-x+1/4,-z+3/4'
'y+1/4,x+1/4,z+3/4'
'-x+1/2,y,-z+1/2'
'x+1/2,-y,z+1/2'
'y+1/4,x+3/4,-z+1/4'
'-y+1/4,-x+3/4,z+1/4'
'x+1/2,y+1/2,z+1/2'
'-x+1/2,-y+1/2,-z+1/2'
'-y+3/4,x+1/4,z+3/4'
'y+3/4,-x+1/4,-z+3/4'
'-x,-y+1/2,z'
'x,y+1/2,-z'
'y+3/4,-x+3/4,z+1/4'
'-y+3/4,x+3/4,-z+1/4'
'x+1/2,-y+1/2,-z+1/2'
'-x+1/2,y+1/2,z+1/2'
'-y+3/4,-x+3/4,-z+1/4'
'y+3/4,x+3/4,z+1/4'
'-x,y+1/2,-z'
'x,-y+1/2,z'
'y+3/4,x+1/4,-z+3/4'
'-y+3/4,-x+1/4,z+3/4'
loop_
_atom_site_label
_atom_site_fract_x
_atom_site_fract_y
_atom_site_fract_z
Rb1 0.000 0.250 0.375
Cr1 0.000 0.000 0.000
Fe1 0.000 0.250 0.875
```

For Cr5Fe2Re5, a DFT-relaxed cell (GGA-PBE, Alexandria) gives the calculated powder X-ray diffraction pattern in this record (Cu Kα, 1.54184 Å).
Intensities are scaled so that the largest is 100.

Principal peaks in the range 5° ≤ 2θ ≤ 70°, in order of falling intensity:
d (Å)  two_theta  I (rel.)  hkl
2.205  40.9  100  3 0 1
3.682  24.2  85  0 0 2
2.041  44.4  79  2 2 2
2.858  31.3  70  2 1 1
1.925  47.2  47  2 1 3
2.452  36.7  36  2 2 0

Atomic structure:
```
data_Cr5Fe2Re5
_chemical_formula_sum 'Cr10 Fe4 Re10'
_cell_length_a 6.934
_cell_length_b 6.934
_cell_length_c 7.364
_cell_angle_alpha 90.00
_cell_angle_beta 90.00
_cell_angle_gamma 90.00
_symmetry_space_group_name_H-M 'I 4 m m'
_symmetry_Int_Tables_number 107
_symmetry_space_group_name_Hall 'I 4 -2'
loop_
_atom_site_label
_atom_site_fract_x
_atom_site_fract_y
_atom_site_fract_z
Cr1 0.000 0.000 0.000
Cr2 0.000 0.290 0.514
Fe1 0.000 0.500 0.272
Re1 0.000 0.000 0.340
Re2 0.196 0.196 0.799
```

For CrFe6Re2, a DFT-relaxed cell (GGA-PBE, Alexandria) gives the calculated powder X-ray diffraction pattern in this record (Cu Kα, 1.54184 Å).
Intensities are scaled so that the largest is 100.

Principal peaks in the range 5° ≤ 2θ ≤ 70°, in order of falling intensity:
d (Å)  two_theta  I (rel.)  hkl
2.058  44.0  100  1 1 1
1.990  45.6  75  3 0 0
3.446  25.9  34  1 1 0
5.969  14.8  31  1 0 0
1.431  65.2  30  2 2 1
2.358  38.2  8  1 0 1

Atomic structure:
```
data_CrFe6Re2
_chemical_formula_sum 'Cr1 Fe6 Re2'
_cell_length_a 6.8924
_cell_length_b 6.8924
_cell_length_c 2.5663
_cell_angle_alpha 90.00
_cell_angle_beta 90.00
_cell_angle_gamma 120.00
_symmetry_space_group_name_H-M 'P 6/m m m'
_symmetry_Int_Tables_number 191
_symmetry_space_group_name_Hall '-P 6 2'
loop_
_atom_site_label
_atom_site_fract_x
_atom_site_fract_y
_atom_site_fract_z
Cr1 0.0000 0.0000 0.0000
Fe1 0.0000 0.3297 0.5000
Re1 0.3333 0.6667 0.0000
```

For Sr2CrFeRe, a DFT-relaxed cell (GGA-PBE, Alexandria) gives the calculated powder X-ray diffraction pattern in this record (Cu Kα, 1.54184 Å).
Intensities are scaled so that the largest is 100.

Principal peaks in the range 5° ≤ 2θ ≤ 70°, in order of falling intensity:
d (Å)  two_theta  I (rel.)  hkl
2.917  30.6  100  2 0 0
1.684  54.5  39  2 0 2
2.063  43.9  25  2 2 0
3.367  26.5  19  1 0 1
1.459  63.8  16  4 0 0
2.205  40.9  12  2 1 1

Atomic structure:
```
data_Sr2CrFeRe
_chemical_formula_sum 'Sr2 Cr1 Fe1 Re1'
_cell_length_a 5.836
_cell_length_b 5.836
_cell_length_c 4.123
_cell_angle_alpha 90.00
_cell_angle_beta 90.00
_cell_angle_gamma 90.00
_symmetry_space_group_name_H-M 'P 4/m m m'
_symmetry_Int_Tables_number 123
_symmetry_space_group_name_Hall '-P 4 2'
loop_
_atom_site_label
_atom_site_fract_x
_atom_site_fract_y
_atom_site_fract_z
Sr1 0.000 0.500 0.000
Cr1 0.000 0.000 0.000
Fe1 0.000 0.000 0.500
Re1 0.500 0.500 0.500
```

For Cr2FeRh, a DFT-relaxed cell (GGA-PBE, Alexandria) gives the calculated powder X-ray diffraction pattern in this record (Cu Kα, 1.54184 Å).
Intensities are scaled so that the largest is 100.

Principal peaks in the range 5° ≤ 2θ ≤ 70°, in order of falling intensity:
d (Å)  two_theta  I (rel.)  hkl
2.099  43.1  100  1 1 0
1.837  49.6  32  1 0 2
1.781  51.3  15  0 2 0
2.939  30.4  7  0 1 1
3.562  25.0  5  0 1 0
2.598  34.5  5  0 0 2

Atomic structure:
```
data_Cr2FeRh
_chemical_formula_sum 'Cr2 Fe1 Rh1'
_cell_length_a 2.597
_cell_length_b 3.562
_cell_length_c 5.200
_cell_angle_alpha 90.00
_cell_angle_beta 90.00
_cell_angle_gamma 90.00
_symmetry_space_group_name_H-M 'P m m m'
_symmetry_Int_Tables_number 47
loop_
_symmetry_equiv_pos_as_xyz
'x,y,z'
'-x,-y,-z'
'-x,-y,z'
'x,y,-z'
'x,-y,-z'
'-x,y,z'
'-x,y,-z'
'x,-y,z'
loop_
_atom_site_label
_atom_site_fract_x
_atom_site_fract_y
_atom_site_fract_z
Cr1 0.000 0.000 0.225
Fe1 0.500 0.500 0.000
Rh1 0.500 0.500 0.500
```

For Cr5FeRh6, a DFT-relaxed cell (GGA-PBE, Alexandria) gives the calculated powder X-ray diffraction pattern in this record (Cu Kα, 1.54184 Å).
Intensities are scaled so that the largest is 100.

Principal peaks in the range 5° ≤ 2θ ≤ 70°, in order of falling intensity:
d (Å)  two_theta  I (rel.)  hkl
2.164  41.7  100  1 2 3
1.895  48.0  33  2 0 0
1.833  49.7  15  0 4 0
3.667  24.3  11  0 2 0
2.680  33.4  9  1 0 3
1.684  54.5  5  0 2 6

Atomic structure:
```
data_Cr5FeRh6
_chemical_formula_sum 'Cr10 Fe2 Rh12'
_cell_length_a 3.790
_cell_length_b 7.334
_cell_length_c 11.376
_cell_angle_alpha 90.00
_cell_angle_beta 90.00
_cell_angle_gamma 90.00
_symmetry_space_group_name_H-M 'I m m m'
_symmetry_Int_Tables_number 71
_symmetry_space_group_name_Hall '-I 2 2'
loop_
_atom_site_label
_atom_site_fract_x
_atom_site_fract_y
_atom_site_fract_z
Cr1 0.000 0.000 0.000
Cr2 0.000 0.000 0.331
Cr3 0.000 0.500 0.337
Fe1 0.000 0.500 0.000
Rh1 0.000 0.250 0.167
Rh2 0.000 0.251 0.500
```